Entry 1:
ZrNiAsPd: simulated PXRD pattern (Cu Kα (weighted mean of Kα1 and Kα2)), based on DFT lattice parameters and positions (GGA-PBE).

Structural model:
```
data_ZrNiAsPd
_cell_length_a 6.363
_cell_length_b 6.363
_cell_length_c 6.363
_cell_angle_alpha 90.00
_cell_angle_beta 90.00
_cell_angle_gamma 90.00
_space_group_name_H-M_alt 'F -4 3 m'
_space_group_IT_number 216
_space_group_name_Hall 'F -4 2 3'
loop_
_atom_site_label
_atom_site_type_symbol
_atom_site_fract_x
_atom_site_fract_y
_atom_site_fract_z
Zr1 Zr 0.000 0.000 0.000
Ni1 Ni 0.250 0.250 0.750
As1 As 0.000 0.000 0.500
Pd1 Pd 0.250 0.250 0.250
```

Principal peaks in the range 2θ from 15° to 90°, in order of rising 2θ:
24.23 deg, intensity 5, hkl 1 1 1; 40.08 deg, intensity 100, hkl 2 2 0; 47.38 deg, intensity 2, hkl 3 1 1; 57.97 deg, intensity 16, hkl 4 0 0; 72.81 deg, intensity 32, hkl 4 2 2; 86.52 deg, intensity 10, hkl 4 4 0


Entry 2:
ZnNiAsPt: simulated PXRD pattern (Cu Kα (weighted mean of Kα1 and Kα2)), based on DFT lattice parameters and positions (GGA-PBE).

Structural model:
```
data_ZnNiAsPt
_cell_length_a 6.131
_cell_length_b 6.131
_cell_length_c 6.131
_cell_angle_alpha 90.00
_cell_angle_beta 90.00
_cell_angle_gamma 90.00
_space_group_name_H-M_alt 'F -4 3 m'
_space_group_IT_number 216
_space_group_name_Hall 'F -4 2 3'
loop_
_atom_site_label
_atom_site_type_symbol
_atom_site_fract_x
_atom_site_fract_y
_atom_site_fract_z
Zn1 Zn 0.000 0.000 0.000
Ni1 Ni 0.250 0.250 0.750
As1 As 0.000 0.000 0.500
Pt1 Pt 0.250 0.250 0.250
```

Principal peaks in the range 2θ from 15° to 90°, in order of rising 2θ:
25.16 deg, intensity 24, hkl 1 1 1; 29.13 deg, intensity 9, hkl 2 0 0; 41.66 deg, intensity 100, hkl 2 2 0; 49.29 deg, intensity 12, hkl 3 1 1; 60.39 deg, intensity 16, hkl 4 0 0; 76.04 deg, intensity 33, hkl 4 2 2


Entry 3:
Re5Ni2As12: simulated PXRD pattern (Cu Kα (weighted mean of Kα1 and Kα2)), based on DFT lattice parameters and positions (GGA-PBE).

Structural model:
```
data_Re5Ni2As12
_cell_length_a 12.631
_cell_length_b 15.712
_cell_length_c 3.235
_cell_angle_alpha 90.00
_cell_angle_beta 90.00
_cell_angle_gamma 90.00
_space_group_name_H-M_alt 'P n n m'
_space_group_IT_number 58
loop_
_space_group_symop_operation_xyz
'x,y,z'
'-x,-y,-z'
'-x,-y,z'
'x,y,-z'
'x+1/2,-y+1/2,-z+1/2'
'-x+1/2,y+1/2,z+1/2'
'-x+1/2,y+1/2,-z+1/2'
'x+1/2,-y+1/2,z+1/2'
loop_
_atom_site_label
_atom_site_type_symbol
_atom_site_fract_x
_atom_site_fract_y
_atom_site_fract_z
Re1 Re 0.000 0.000 0.000
Re2 Re 0.079 0.262 0.500
Re3 Re 0.184 0.398 0.000
Ni1 Ni 0.129 0.653 0.500
As1 As 0.035 0.422 0.500
As2 As 0.069 0.762 0.000
As3 As 0.093 0.098 0.500
As4 As 0.159 0.909 0.000
As5 As 0.208 0.559 0.000
As6 As 0.226 0.243 0.000
```

Principal peaks in the range 2θ from 15° to 90°, in order of rising 2θ:
15.12 deg, intensity 58, hkl 2 1 0; 31.59 deg, intensity 69, hkl 2 1 1; 34.24 deg, intensity 61, hkl 0 6 0; 35.46 deg, intensity 100, hkl 3 1 1; 45.60 deg, intensity 96, hkl 5 0 1; 49.76 deg, intensity 54, hkl 3 6 1


Entry 4:
Y2Ni2SbAs: simulated PXRD pattern (Cu Kα (weighted mean of Kα1 and Kα2)), based on DFT lattice parameters and positions (GGA-PBE).

Structural model:
```
data_Y2Ni2SbAs
_cell_length_a 10.807
_cell_length_b 4.414
_cell_length_c 10.813
_cell_angle_alpha 90.00
_cell_angle_beta 109.46
_cell_angle_gamma 90.00
_space_group_name_H-M_alt 'P 1 m 1'
_space_group_IT_number 6
loop_
_space_group_symop_operation_xyz
'x,y,z'
'x,-y,z'
loop_
_atom_site_label
_atom_site_type_symbol
_atom_site_fract_x
_atom_site_fract_y
_atom_site_fract_z
Y1 Y 0.000 0.000 0.000
Y2 Y 0.116 0.500 0.374
Y3 Y 0.240 0.000 0.748
Y4 Y 0.375 0.500 0.123
Y5 Y 0.506 0.000 0.494
Y6 Y 0.632 0.500 0.880
Y7 Y 0.754 0.000 0.252
Y8 Y 0.878 0.500 0.619
Ni1 Ni 0.123 0.500 0.623
Ni2 Ni 0.247 0.000 0.997
Ni3 Ni 0.375 0.500 0.373
Ni4 Ni 0.500 0.000 0.748
Ni5 Ni 0.630 0.500 0.130
Ni6 Ni 0.755 0.000 0.497
Ni7 Ni 0.881 0.500 0.874
Ni8 Ni 0.998 0.000 0.248
Sb1 Sb 0.249 0.000 0.250
Sb2 Sb 0.376 0.500 0.624
Sb3 Sb 0.501 0.000 0.999
Sb4 Sb 0.752 0.000 0.748
As1 As 0.123 0.500 0.874
As2 As 0.627 0.500 0.371
As3 As 0.875 0.500 0.125
As4 As 0.998 0.000 0.498
```

Principal peaks in the range 2θ from 15° to 90°, in order of rising 2θ:
24.71 deg, intensity 17, hkl 3 0 -1; 28.60 deg, intensity 32, hkl 2 0 2; 40.89 deg, intensity 100, hkl 0 2 0; 59.21 deg, intensity 16, hkl 4 2 -4; 67.06 deg, intensity 11, hkl 2 3 -2; 74.47 deg, intensity 32, hkl 0 3 4


Entry 5:
Sc3Ni4As4: simulated PXRD pattern (Cu Kα (weighted mean of Kα1 and Kα2)), based on DFT lattice parameters and positions (GGA-PBE).

Structural model:
```
data_Sc3Ni4As4
_cell_length_a 6.398
_cell_length_b 3.883
_cell_length_c 7.152
_cell_angle_alpha 90.00
_cell_angle_beta 91.64
_cell_angle_gamma 90.00
_space_group_name_H-M_alt 'P 1 m 1'
_space_group_IT_number 6
loop_
_space_group_symop_operation_xyz
'x,y,z'
'x,-y,z'
loop_
_atom_site_label
_atom_site_type_symbol
_atom_site_fract_x
_atom_site_fract_y
_atom_site_fract_z
Sc1 Sc 0.000 0.000 0.000
Sc2 Sc 0.036 0.500 0.620
Sc3 Sc 0.529 0.500 0.475
Ni1 Ni 0.146 0.500 0.244
Ni2 Ni 0.355 0.000 0.744
Ni3 Ni 0.663 0.500 0.860
Ni4 Ni 0.857 0.000 0.365
As1 As 0.241 0.000 0.409
As2 As 0.302 0.500 0.936
As3 As 0.739 0.000 0.684
As4 As 0.769 0.500 0.179
```

Principal peaks in the range 2θ from 15° to 90°, in order of rising 2θ:
26.12 deg, intensity 44, hkl 0 1 1; 37.23 deg, intensity 51, hkl 1 1 2; 38.31 deg, intensity 55, hkl 2 1 -1; 38.86 deg, intensity 61, hkl 2 1 1; 44.63 deg, intensity 100, hkl 0 1 3; 46.79 deg, intensity 64, hkl 0 2 0


Entry 6:
Si3Ni2As2: simulated PXRD pattern (Cu Kα (weighted mean of Kα1 and Kα2)), based on DFT lattice parameters and positions (GGA-PBE).

Structural model:
```
data_Si3Ni2As2
_cell_length_a 3.9504
_cell_length_b 3.9504
_cell_length_c 23.4305
_cell_angle_alpha 90.00
_cell_angle_beta 90.00
_cell_angle_gamma 120.00
_space_group_name_H-M_alt 'R 3 m'
_space_group_IT_number 160
_space_group_name_Hall 'R 3 -2"'
loop_
_atom_site_label
_atom_site_type_symbol
_atom_site_fract_x
_atom_site_fract_y
_atom_site_fract_z
Si1 Si 0.0000 0.0000 0.0000
Si2 Si 0.0000 0.0000 0.2634
Si3 Si 0.0000 0.0000 0.7260
Ni1 Ni 0.0000 0.0000 0.3570
Ni2 Ni 0.0000 0.0000 0.8256
As1 As 0.0000 0.0000 0.1260
As2 As 0.0000 0.0000 0.5457
```

Principal peaks in the range 2θ from 15° to 90°, in order of rising 2θ:
30.25 deg, intensity 60, hkl 1 0 4; 32.40 deg, intensity 41, hkl 0 1 5; 37.59 deg, intensity 65, hkl 1 0 7; 45.95 deg, intensity 100, hkl 1 1 0; 47.01 deg, intensity 26, hkl 1 0 10; 50.47 deg, intensity 25, hkl 0 1 11


Entry 7:
Sm2Ni12As7: simulated PXRD pattern (Cu Kα (weighted mean of Kα1 and Kα2)), based on DFT lattice parameters and positions (GGA-PBE).

Structural model:
```
data_Sm2Ni12As7
_cell_length_a 9.3801
_cell_length_b 9.3801
_cell_length_c 3.8692
_cell_angle_alpha 90.00
_cell_angle_beta 90.00
_cell_angle_gamma 120.00
_space_group_name_H-M_alt 'P -6'
_space_group_IT_number 174
loop_
_space_group_symop_operation_xyz
'x,y,z'
'-x+y,-x,-z'
'-y,x-y,z'
'x,y,-z'
'-x+y,-x,z'
'-y,x-y,-z'
loop_
_atom_site_label
_atom_site_type_symbol
_atom_site_fract_x
_atom_site_fract_y
_atom_site_fract_z
Sm1 Sm 0.0000 0.0000 0.0000
Sm2 Sm 0.3333 0.6667 0.5000
Ni1 Ni 0.0431 0.7578 0.5000
Ni2 Ni 0.1036 0.3899 0.0000
Ni3 Ni 0.3878 0.2039 0.0000
Ni4 Ni 0.5539 0.1245 0.5000
As1 As 0.0684 0.6212 0.0000
As2 As 0.2629 0.0352 0.5000
As3 As 0.6667 0.3333 0.0000
```

Principal peaks in the range 2θ from 15° to 90°, in order of rising 2θ:
37.39 deg, intensity 100, hkl 1 2 1; 46.65 deg, intensity 21, hkl 3 1 1; 46.97 deg, intensity 27, hkl 0 0 2; 51.56 deg, intensity 22, hkl 4 1 0; 54.66 deg, intensity 19, hkl 2 3 1; 72.29 deg, intensity 16, hkl 4 1 2


Entry 8:
SrSmNi2As2: simulated PXRD pattern (Cu Kα (weighted mean of Kα1 and Kα2)), based on DFT lattice parameters and positions (GGA-PBE).

Structural model:
```
data_SrSmNi2As2
_cell_length_a 4.1021
_cell_length_b 4.1021
_cell_length_c 8.4019
_cell_angle_alpha 90.00
_cell_angle_beta 90.00
_cell_angle_gamma 120.00
_space_group_name_H-M_alt 'P -3 m 1'
_space_group_IT_number 164
_space_group_name_Hall '-P 3 2"'
loop_
_atom_site_label
_atom_site_type_symbol
_atom_site_fract_x
_atom_site_fract_y
_atom_site_fract_z
Sr1 Sr 0.0000 0.0000 0.0000
Sm1 Sm 0.0000 0.0000 0.5000
Ni1 Ni 0.3333 0.6667 0.7335
As1 As 0.3333 0.6667 0.2646
```

Principal peaks in the range 2θ from 15° to 90°, in order of rising 2θ:
33.02 deg, intensity 100, hkl 1 0 2; 43.06 deg, intensity 14, hkl 0 0 4; 44.16 deg, intensity 42, hkl 1 1 0; 56.23 deg, intensity 21, hkl 0 2 2; 63.38 deg, intensity 26, hkl 1 1 4; 74.14 deg, intensity 19, hkl 2 1 2


Entry 9:
SrSmNi2As4: simulated PXRD pattern (Cu Kα (weighted mean of Kα1 and Kα2)), based on DFT lattice parameters and positions (GGA-PBE).

Structural model:
```
data_SrSmNi2As4
_cell_length_a 4.511
_cell_length_b 4.306
_cell_length_c 16.209
_cell_angle_alpha 90.00
_cell_angle_beta 90.00
_cell_angle_gamma 90.00
_space_group_name_H-M_alt 'A m m 2'
_space_group_IT_number 38
loop_
_space_group_symop_operation_xyz
'x,y,z'
'-x,-y,z'
'-x,y,z'
'x,-y,z'
'x,y+1/2,z+1/2'
'-x,-y+1/2,z+1/2'
'-x,y+1/2,z+1/2'
'x,-y+1/2,z+1/2'
loop_
_atom_site_label
_atom_site_type_symbol
_atom_site_fract_x
_atom_site_fract_y
_atom_site_fract_z
Sr1 Sr 0.000 0.000 0.000
Sm1 Sm 0.500 0.000 0.786
Ni1 Ni 0.000 0.000 0.212
Ni2 Ni 0.500 0.000 0.582
As1 As 0.000 0.000 0.353
As2 As 0.000 0.000 0.645
As3 As 0.500 0.000 0.148
As4 As 0.500 0.000 0.432
```

Principal peaks in the range 2θ from 15° to 90°, in order of rising 2θ:
33.20 deg, intensity 100, hkl 1 1 3; 34.64 deg, intensity 38, hkl 0 1 5; 38.86 deg, intensity 29, hkl 1 0 6; 39.97 deg, intensity 35, hkl 2 0 0; 41.96 deg, intensity 31, hkl 0 2 0; 59.33 deg, intensity 25, hkl 2 2 0


Entry 10:
Ni2Sn3As2: simulated PXRD pattern (Cu Kα (weighted mean of Kα1 and Kα2)), based on DFT lattice parameters and positions (GGA-PBE).

Structural model:
```
data_Ni2Sn3As2
_cell_length_a 4.0597
_cell_length_b 4.0597
_cell_length_c 31.2582
_cell_angle_alpha 90.00
_cell_angle_beta 90.00
_cell_angle_gamma 120.00
_space_group_name_H-M_alt 'R 3 m'
_space_group_IT_number 160
_space_group_name_Hall 'R 3 -2"'
loop_
_atom_site_label
_atom_site_type_symbol
_atom_site_fract_x
_atom_site_fract_y
_atom_site_fract_z
Ni1 Ni 0.0000 0.0000 0.0000
Ni2 Ni 0.0000 0.0000 0.4563
Sn1 Sn 0.0000 0.0000 0.0858
Sn2 Sn 0.0000 0.0000 0.2954
Sn3 Sn 0.0000 0.0000 0.8318
As1 As 0.0000 0.0000 0.2104
As2 As 0.0000 0.0000 0.6875
```

Principal peaks in the range 2θ from 15° to 90°, in order of rising 2θ:
29.14 deg, intensity 73, hkl 0 1 5; 34.31 deg, intensity 67, hkl 0 1 8; 38.54 deg, intensity 26, hkl 1 0 10; 40.83 deg, intensity 30, hkl 0 1 11; 44.64 deg, intensity 100, hkl 1 1 0; 45.71 deg, intensity 50, hkl 1 0 13


Entry 11:
Tb2Ni12As7: simulated PXRD pattern (Cu Kα (weighted mean of Kα1 and Kα2)), based on DFT lattice parameters and positions (GGA-PBE).

Structural model:
```
data_Tb2Ni12As7
_cell_length_a 9.3563
_cell_length_b 9.3563
_cell_length_c 3.8399
_cell_angle_alpha 90.00
_cell_angle_beta 90.00
_cell_angle_gamma 120.00
_space_group_name_H-M_alt 'P -6'
_space_group_IT_number 174
loop_
_space_group_symop_operation_xyz
'x,y,z'
'-x+y,-x,-z'
'-y,x-y,z'
'x,y,-z'
'-x+y,-x,z'
'-y,x-y,-z'
loop_
_atom_site_label
_atom_site_type_symbol
_atom_site_fract_x
_atom_site_fract_y
_atom_site_fract_z
Tb1 Tb 0.0000 0.0000 0.0000
Tb2 Tb 0.3333 0.6667 0.5000
Ni1 Ni 0.0437 0.7589 0.5000
Ni2 Ni 0.1046 0.3904 0.0000
Ni3 Ni 0.3866 0.2041 0.0000
Ni4 Ni 0.5522 0.1234 0.5000
As1 As 0.0703 0.6205 0.0000
As2 As 0.2603 0.0353 0.5000
As3 As 0.6667 0.3333 0.0000
```

Principal peaks in the range 2θ from 15° to 90°, in order of rising 2θ:
37.57 deg, intensity 100, hkl 1 2 1; 46.84 deg, intensity 20, hkl 3 1 1; 47.35 deg, intensity 26, hkl 0 0 2; 51.70 deg, intensity 23, hkl 4 1 0; 54.87 deg, intensity 18, hkl 2 3 1; 72.70 deg, intensity 16, hkl 4 1 2


Entry 12:
Tm5Zr3Ni16As12: simulated PXRD pattern (Cu Kα (weighted mean of Kα1 and Kα2)), based on DFT lattice parameters and positions (GGA-PBE).

Structural model:
```
data_Tm5Zr3Ni16As12
_cell_length_a 12.7322
_cell_length_b 12.7322
_cell_length_c 3.8955
_cell_angle_alpha 90.00
_cell_angle_beta 90.00
_cell_angle_gamma 120.00
_space_group_name_H-M_alt 'P -6 2 m'
_space_group_IT_number 189
_space_group_name_Hall 'P -6 -2'
loop_
_atom_site_label
_atom_site_type_symbol
_atom_site_fract_x
_atom_site_fract_y
_atom_site_fract_z
Tm1 Tm 0.0000 0.1821 0.0000
Tm2 Tm 0.3333 0.6667 0.5000
Zr1 Zr 0.0000 0.5617 0.5000
Ni1 Ni 0.0000 0.0000 0.5000
Ni2 Ni 0.0000 0.7236 0.0000
Ni3 Ni 0.1214 0.4817 0.0000
Ni4 Ni 0.1824 0.8080 0.5000
As1 As 0.0000 0.3539 0.5000
As2 As 0.0000 0.8226 0.5000
As3 As 0.1730 0.6924 0.0000
```

Principal peaks in the range 2θ from 15° to 90°, in order of rising 2θ:
33.52 deg, intensity 27, hkl 3 0 1; 36.45 deg, intensity 100, hkl 2 2 1; 37.38 deg, intensity 77, hkl 3 1 1; 46.63 deg, intensity 35, hkl 0 0 2; 49.61 deg, intensity 34, hkl 6 0 0; 70.44 deg, intensity 23, hkl 6 0 2